The following is a calculated PXRD pattern of BaAlCuMoO5. It was derived from a DFT-relaxed cell (GGA+U, the Materials Project), using CuKα.
No peak broadening, texture or thermal motion is included.

The 6 most intense peaks (2θ = 10–90°), sorted by position:
| two_theta | I/Imax | (hkl) |
| --- | --- | --- |
| 25.59 | 56 | 1 0 1 |
| 31.81 | 100 | 1 0 2 |
| 32.46 | 25 | 0 0 3 |
| 33.02 | 48 | 1 1 0 |
| 47.39 | 36 | 2 0 0 |
| 58.21 | 35 | 2 1 2 |

Structure:
Cell: 3.8366 3.8366 8.2746 Å, 90.00 90.00 90.00°
Space group P4mm (No. 99)
Asymmetric unit:
1 Ba 0.0000 0.0000 0.0000 (multiplicity 1)
2 Al 0.0000 0.0000 0.4155 (multiplicity 1)
3 Cu 0.5000 0.5000 0.2560 (multiplicity 1)
4 Mo 0.5000 0.5000 0.6627 (multiplicity 1)
5 O 0.0000 0.5000 0.2734 (multiplicity 2)
6 O 0.0000 0.5000 0.5761 (multiplicity 2)
7 O 0.5000 0.5000 0.9076 (multiplicity 1)



The following is a calculated PXRD pattern of BaAlCuNiO5. It was derived from a DFT-relaxed cell (GGA+U, the Materials Project), using CuKα.
No peak broadening, texture or thermal motion is included.

The 6 most intense peaks (2θ = 10–90°), sorted by position:
| two_theta | I/Imax | (hkl) |
| --- | --- | --- |
| 26.69 | 31 | 1 0 1 |
| 33.69 | 100 | 1 0 2 |
| 34.12 | 40 | 1 1 0 |
| 49.03 | 32 | 2 0 0 |
| 59.98 | 23 | 1 1 4 |
| 60.81 | 35 | 2 1 2 |

Structure:
Cell: 3.7162 3.7162 7.6201 Å, 90.00 90.00 90.00°
Space group P4mm (No. 99)
Asymmetric unit:
1 Ba 0.0000 0.0000 0.0000 (multiplicity 1)
2 Al 0.0000 0.0000 0.5037 (multiplicity 1)
3 Cu 0.5000 0.5000 0.2702 (multiplicity 1)
4 Ni 0.5000 0.5000 0.7124 (multiplicity 1)
5 O 0.0000 0.5000 0.3271 (multiplicity 2)
6 O 0.0000 0.5000 0.6445 (multiplicity 2)
7 O 0.5000 0.5000 0.9756 (multiplicity 1)



The following is a calculated PXRD pattern of Ba2Mn2AlF11. It was derived from a DFT-relaxed cell (GGA+U, the Materials Project), using CuKα.
No peak broadening, texture or thermal motion is included.

The 6 most intense peaks (2θ = 10–90°), sorted by position:
| two_theta | I/Imax | (hkl) |
| --- | --- | --- |
| 22.95 | 71 | 1 0 3 |
| 24.56 | 58 | 2 -1 1 |
| 26.81 | 63 | 1 1 2 |
| 28.21 | 100 | 0 2 1 |
| 38.79 | 58 | 2 1 2 |
| 48.65 | 45 | 2 2 0 |

Structure:
Cell: 7.4858 7.4858 14.4989 Å, 90.00 90.00 120.00°
Space group P3_2 (No. 145)
Asymmetric unit:
1 Ba 0.1434 0.0095 0.0000 (multiplicity 3)
2 Ba 0.5068 0.1559 0.4671 (multiplicity 3)
3 Mn 0.1263 0.4318 0.3924 (multiplicity 3)
4 Mn 0.3399 0.3022 0.2224 (multiplicity 3)
5 Al 0.1781 0.4981 0.8723 (multiplicity 3)
6 F 0.0335 0.1285 0.1828 (multiplicity 3)
7 F 0.0550 0.7623 0.1872 (multiplicity 3)
8 F 0.0703 0.3887 0.9815 (multiplicity 3)
9 F 0.1496 0.7262 0.8773 (multiplicity 3)
10 F 0.2148 0.5466 0.2465 (multiplicity 3)
11 F 0.2461 0.2404 0.3615 (multiplicity 3)
12 F 0.2653 0.5730 0.7527 (multiplicity 3)
13 F 0.3675 0.1687 0.6879 (multiplicity 3)
14 F 0.3963 0.3871 0.0837 (multiplicity 3)
15 F 0.4257 0.0841 0.1565 (multiplicity 3)
16 F 0.5268 0.1721 0.9264 (multiplicity 3)



The following is a calculated PXRD pattern of Ba2AlW2F11. It was derived from a DFT-relaxed cell (GGA+U, the Materials Project), using CuKα.
No peak broadening, texture or thermal motion is included.

The 6 most intense peaks (2θ = 10–90°), sorted by position:
| two_theta | I/Imax | (hkl) |
| --- | --- | --- |
| 14.48 | 46 | 1 0 1 |
| 23.78 | 47 | 2 -1 1 |
| 25.90 | 44 | 1 1 2 |
| 27.02 | 62 | 0 1 4 |
| 27.32 | 32 | 0 2 1 |
| 29.15 | 100 | 2 0 2 |

Structure:
Cell: 7.7203 7.7203 15.1743 Å, 90.00 90.00 120.00°
Space group P3_2 (No. 145)
Asymmetric unit:
1 Ba 0.1521 0.0015 0.0000 (multiplicity 3)
2 Ba 0.5041 0.1367 0.4717 (multiplicity 3)
3 Al 0.1664 0.4834 0.8867 (multiplicity 3)
4 W 0.0945 0.4207 0.4098 (multiplicity 3)
5 W 0.3396 0.3079 0.2409 (multiplicity 3)
6 F 0.0103 0.7602 0.7118 (multiplicity 3)
7 F 0.0271 0.1556 0.2103 (multiplicity 3)
8 F 0.0569 0.3393 0.9876 (multiplicity 3)
9 F 0.0969 0.8304 0.1704 (multiplicity 3)
10 F 0.1393 0.5794 0.2594 (multiplicity 3)
11 F 0.1773 0.7056 0.9300 (multiplicity 3)
12 F 0.2936 0.6221 0.7813 (multiplicity 3)
13 F 0.3746 0.1877 0.7002 (multiplicity 3)
14 F 0.4054 0.3571 0.1012 (multiplicity 3)
15 F 0.4809 0.0722 0.1663 (multiplicity 3)
16 F 0.5324 0.1891 0.9331 (multiplicity 3)